LaCu2Au2: computed X-ray powder pattern (Cu Ka), based on the GGA-PBE geometry in Alexandria.

Main lines, sorted by position (2θ from 10° to 90°):
| Position (°2θ) | I (rel.) | (hkl) |
| --- | --- | --- |
| 18.57 | 22.3 | 0 0 2 |
| 33.26 | 100.0 | 1 1 2 |
| 34.21 | 17.0 | 1 0 3 |
| 39.07 | 50.6 | 2 0 0 |
| 43.59 | 10.9 | 2 0 2 |
| 47.16 | 20.8 | 1 1 4 |
| 55.37 | 13.2 | 2 0 4 |
| 56.44 | 17.2 | 2 2 0 |
| 65.18 | 13.7 | 1 1 6 |
| 67.11 | 26.8 | 3 1 2 |

Cell and atoms:
```
10
Lattice="4.611 0.000 0.000 0.000 4.611 0.000 0.000 0.000 9.558" Properties=species:S:1:pos:R:3 pbc="T T T"
La 0.000 0.000 0.000
La 2.306 2.306 4.779
Cu 0.000 0.000 3.609
Cu 0.000 0.000 5.949
Cu 2.306 2.306 1.170
Cu 2.306 2.306 8.388
Au 0.000 2.306 2.389
Au 0.000 2.306 7.168
Au 2.306 0.000 2.389
Au 2.306 0.000 7.168
```